Record 1
Starting from a DFT-relaxed cell (PBE, Alexandria), the X-ray diffraction stick pattern of Ba6LiRhAu was computed for copper Kα.
Neutral-atom scattering factors, no anomalous dispersion.

Principal peaks in the range 10° ≤ 2θ ≤ 90°, by angle:
2θ (°)  I/Imax  index
11.4  312  0 0 1
12.4  220  1 0 0
16.9  157  1 0 1
24.5  1000  2 -1 1
31.7  517  2 -1 2
37.9  338  3 0 0
41.2  293  1 1 3
45.7  156  2 2 1
50.2  126  2 2 2
61.7  176  3 0 4

```
data_Ba6LiRhAu
_cell_length_a 8.2136
_cell_length_b 8.2136
_cell_length_c 7.7816
_cell_angle_alpha 90.00
_cell_angle_beta 90.00
_cell_angle_gamma 120.00
_space_group_name_H-M_alt 'P 3 1 2'
_space_group_IT_number 149
loop_
_space_group_symop_operation_xyz
'x,y,z'
'-y,x-y,z'
'-x+y,-x,z'
'-y,-x,-z'
'-x+y,y,-z'
'x,x-y,-z'
loop_
_atom_site_label
_atom_site_fract_x
_atom_site_fract_y
_atom_site_fract_z
_atom_site_occupancy
Ba1 0.0333 0.3510 0.2287 1
Li1 0.6667 0.3333 0.5000 1
Rh1 0.3333 0.6667 0.0000 1
Au1 0.0000 0.0000 0.0000 1
```

Record 2
Starting from a DFT-relaxed cell (PBE, Alexandria), the X-ray diffraction stick pattern of Cs3Na2DyI9 was computed for copper Kα.
Neutral-atom scattering factors, no anomalous dispersion.

Principal peaks in the range 10° ≤ 2θ ≤ 90°, by angle:
2θ (°)  I/Imax  index
24.1  296  0 0 3
25.1  824  0 2 1
28.8  1000  2 0 2
40.6  388  0 2 4
41.8  360  2 2 0
48.9  255  2 2 3
49.4  195  0 0 6
51.6  193  0 4 2
66.7  269  2 2 6
68.5  163  4 2 2

```
data_Cs3Na2DyI9
_cell_length_a 8.6397
_cell_length_b 8.6397
_cell_length_c 11.0623
_cell_angle_alpha 90.00
_cell_angle_beta 90.00
_cell_angle_gamma 120.00
_space_group_name_H-M_alt 'P -3 m 1'
_space_group_IT_number 164
_space_group_name_Hall '-P 3 2"'
loop_
_atom_site_label
_atom_site_fract_x
_atom_site_fract_y
_atom_site_fract_z
_atom_site_occupancy
Cs1 0.0000 0.0000 0.0000 1
Cs2 0.3333 0.6667 0.6774 1
Na1 0.3333 0.6667 0.1679 1
Dy1 0.0000 0.0000 0.5000 1
I1 0.0000 0.5000 0.0000 1
I2 0.1640 0.3279 0.3415 1
```

Record 3
Starting from a DFT-relaxed cell (PBE, Alexandria), the X-ray diffraction stick pattern of CuReO4 was computed for copper Kα.
Neutral-atom scattering factors, no anomalous dispersion.

Principal peaks in the range 10° ≤ 2θ ≤ 90°, by angle:
2θ (°)  I/Imax  index
19.4  1000  1 0 1
23.7  86  1 1 0
31.0  431  1 1 2
33.8  122  2 0 0
34.3  156  1 0 3
39.3  218  2 1 1
48.9  169  1 2 3
53.4  111  2 0 4
58.8  133  3 1 2
64.2  75  3 2 1

```
data_CuReO4
_cell_length_a 5.2993
_cell_length_b 5.2993
_cell_length_c 9.0161
_cell_angle_alpha 90.00
_cell_angle_beta 90.00
_cell_angle_gamma 90.00
_space_group_name_H-M_alt 'I -4'
_space_group_IT_number 82
loop_
_space_group_symop_operation_xyz
'x,y,z'
'y,-x,-z'
'-x,-y,z'
'-y,x,-z'
'x+1/2,y+1/2,z+1/2'
'y+1/2,-x+1/2,-z+1/2'
'-x+1/2,-y+1/2,z+1/2'
'-y+1/2,x+1/2,-z+1/2'
loop_
_atom_site_label
_atom_site_fract_x
_atom_site_fract_y
_atom_site_fract_z
_atom_site_occupancy
Cu1 0.0000 0.0000 0.0000 1
Re1 0.0000 0.5000 0.2500 1
O1 0.1284 0.2606 0.1359 1
```